No. 1
PmThSe2O: theoretical X-ray powder pattern (Cu Kα (λ = 1.5418 Å)), based on DFT lattice parameters and positions (GGA-PBE).
Intensities are scaled so that the largest is 100.

Crystal structure
Cell lengths 4.1307, 4.1307, 14.3089 Å; angles 90.00, 90.00, 90.00 degrees
Space group P4/nmm (No. 129, origin choice 2)
Inequivalent atoms, fractional coordinates:
Pm: 0.2500 0.2500 0.0785
Th: 0.2500 0.2500 0.6117
Se: 0.2500 0.2500 0.3898
Se: 0.2500 0.2500 0.8053
O: 0.2500 0.7500 0.0000

Peak list (6 most intense, 2θ = 15–90°, sorted by position)
2θ/deg	I (rel.)	index
24.89	88	0 0 4
30.61	100	1 1 0
33.13	43	1 0 4
39.84	44	1 1 4
43.83	51	2 0 0
51.06	36	2 0 4

No. 2
Pm3SiO6: theoretical X-ray powder pattern (Cu Kα (λ = 1.5418 Å)), based on DFT lattice parameters and positions (GGA-PBE).
Intensities are scaled so that the largest is 100.

Crystal structure
Cell lengths 9.1506, 11.3625, 5.6064 Å; angles 90.00, 90.00, 90.00 degrees
Space group Cmc2_1 (No. 36)
Inequivalent atoms, fractional coordinates:
Pm: 0.0000 0.1011 0.0000
Pm: 0.1873 0.3987 0.0358
Si: 0.0000 0.3059 0.5838
O: 0.0000 0.2831 0.2946
O: 0.0000 0.4487 0.6636
O: 0.1440 0.2461 0.7205
O: 0.1568 0.0136 0.2720

Peak list (6 most intense, 2θ = 15–90°, sorted by position)
2θ/deg	I (rel.)	index
20.15	27	1 1 1
29.71	100	2 2 1
30.10	49	1 3 1
30.34	27	3 1 0
31.93	22	0 0 2
44.62	32	3 1 2

Which formula does entry 2 have?
Pm3SiO6